Starting from a DFT-relaxed cell (GGA+U, Alexandria), the powder diffraction line list of SrTlV2O8 was simulated for Cu Ka.
Neutral-atom scattering factors, no anomalous dispersion.

Main lines, by angle (2θ from 5° to 70°):
2θ 17.78, d 4.988, rel. 100, hkl 1 0 0; 2θ 21.66, d 4.103, rel. 76, hkl 1 0 1; 2θ 30.58, d 2.924, rel. 87, hkl 0 1 2; 2θ 31.06, d 2.880, rel. 70, hkl 1 1 0; 2θ 40.06, d 2.251, rel. 30, hkl 1 1 2; 2θ 44.14, d 2.052, rel. 47, hkl 2 0 2; 2θ 54.95, d 1.671, rel. 36, hkl 1 2 2; 2θ 60.56, d 1.529, rel. 18, hkl 1 1 4

Structure:
```
data_SrTlV2O8
_chemical_formula_sum 'Sr1 Tl1 V2 O8'
_symmetry_space_group_name_H-M 'P -3 m 1'
_symmetry_Int_Tables_number 164
_symmetry_space_group_name_Hall '-P 3 2"'
_cell_length_a 5.7594
_cell_length_b 5.7594
_cell_length_c 7.2169
_cell_angle_alpha 90.00
_cell_angle_beta 90.00
_cell_angle_gamma 120.00
loop_
_atom_site_label
_atom_site_fract_x
_atom_site_fract_y
_atom_site_fract_z
Sr1 0.0000 0.0000 0.0000
Tl1 0.0000 0.0000 0.5000
V1 0.3333 0.6667 0.2193
O1 0.1639 0.3278 0.2873
O2 0.3333 0.6667 0.9863
```